For Sr2PrTc, a crystal structure in OQMD, relaxed with PBE gives the simulated powder diffractogram in this record (Cu Kα).

Structural model:
Lattice parameters (Å, degrees): 4.571 4.571 8.479 90.00 90.00 120.00
Element x y z (fractional)
Sr 0.000 0.000 0.000
Sr 0.333 0.667 0.618
Pr 0.667 0.333 0.311
Tc 0.000 0.000 0.407

Top 10 peaks for 2θ = 10–90°, in order of rising 2θ:
Position (°2θ)  Rel. int.
10.4  83.7
24.8  75.9
30.9  100.0
39.2  22.3
39.4  61.4
40.9  18.4
50.9  24.3
51.4  27.3
59.3  18.1
66.2  21.9

For ThSiSe, a crystal structure in OQMD, relaxed with PBE gives the simulated powder diffractogram in this record (Cu Kα).

Structural model:
Lattice parameters (Å, degrees): 9.293 9.293 9.293 155.12 155.12 35.47
Element x y z (fractional)
Th 0.131 0.131 0.000
Th 0.869 0.869 0.000
Si 0.000 0.500 0.500
Si 0.500 0.000 0.500
Se 0.312 0.312 0.000
Se 0.688 0.688 0.000

Top 10 peaks for 2θ = 10–90°, in order of rising 2θ:
Position (°2θ)  Rel. int.
20.1  69.4
22.8  85.2
26.9  38.6
31.6  97.5
33.8  87.8
37.7  100.0
42.3  60.3
45.3  53.3
57.7  38.4
63.7  36.7

For Tm4SnPbC2, a crystal structure in OQMD, relaxed with PBE gives the simulated powder diffractogram in this record (Cu Kα).

Structural model:
Lattice parameters (Å, degrees): 3.573 3.573 15.716 90.00 90.00 120.00
Element x y z (fractional)
Tm 0.000 0.000 0.164
Tm 0.000 0.000 0.836
Tm 0.667 0.333 0.330
Tm 0.667 0.333 0.670
Sn 0.667 0.333 0.000
Pb 0.000 0.000 0.500
C 0.333 0.667 0.248
C 0.333 0.667 0.752

Top 10 peaks for 2θ = 10–90°, in order of rising 2θ:
Position (°2θ)  Rel. int.
28.9  23.1
33.6  100.0
34.2  20.1
45.4  15.9
51.1  21.5
60.9  18.1
62.6  17.0
63.0  21.4
83.5  7.7
85.0  15.1

For Ga4Ni3, a crystal structure in OQMD, relaxed with PBE gives the simulated powder diffractogram in this record (Cu Kα).

Structural model:
Lattice parameters (Å, degrees): 9.933 9.933 9.933 109.47 109.47 109.47
Element x y z (fractional)
Ga 0.000 0.000 0.000
Ga 0.000 0.000 0.500
Ga 0.000 0.500 0.000
Ga 0.000 0.500 0.500
Ga 0.012 0.250 0.262
Ga 0.012 0.262 0.750
Ga 0.238 0.250 0.488
Ga 0.238 0.488 0.750
Ga 0.250 0.262 0.012
Ga 0.250 0.488 0.238
Ga 0.250 0.762 0.512
Ga 0.250 0.988 0.738
Ga 0.262 0.012 0.250
Ga 0.262 0.750 0.012
Ga 0.488 0.238 0.250
Ga 0.488 0.750 0.238
Ga 0.500 0.000 0.000
Ga 0.500 0.000 0.500
Ga 0.500 0.500 0.000
Ga 0.500 0.500 0.500
Ga 0.512 0.250 0.762
Ga 0.512 0.762 0.750
Ga 0.738 0.250 0.988
Ga 0.738 0.988 0.750
Ga 0.750 0.012 0.262
Ga 0.750 0.238 0.488
Ga 0.750 0.512 0.762
Ga 0.750 0.738 0.988
Ga 0.762 0.512 0.250
Ga 0.762 0.750 0.512
Ga 0.988 0.738 0.250
Ga 0.988 0.750 0.738
Ni 0.008 0.016 0.758
Ni 0.008 0.492 0.250
Ni 0.016 0.758 0.008
Ni 0.242 0.750 0.258
Ni 0.242 0.992 0.984
Ni 0.250 0.008 0.492
Ni 0.250 0.742 0.758
Ni 0.258 0.242 0.750
Ni 0.258 0.516 0.508
Ni 0.484 0.492 0.742
Ni 0.492 0.250 0.008
Ni 0.492 0.742 0.484
Ni 0.508 0.258 0.516
Ni 0.508 0.750 0.992
Ni 0.516 0.508 0.258
Ni 0.742 0.484 0.492
Ni 0.742 0.758 0.250
Ni 0.750 0.258 0.242
Ni 0.750 0.992 0.508
Ni 0.758 0.008 0.016
Ni 0.758 0.250 0.742
Ni 0.984 0.242 0.992
Ni 0.992 0.508 0.750
Ni 0.992 0.984 0.242

Top 10 peaks for 2θ = 10–90°, in order of rising 2θ:
Position (°2θ)  Rel. int.
19.0  6.5
29.1  8.1
31.2  5.6
43.2  7.6
44.7  100.0
49.0  4.2
65.1  14.6
77.1  2.8
82.4  27.6
89.7  2.6